Record 1
Starting from DFT lattice parameters and positions (GGA-PBE), the powder XRD pattern of Er2Tm2Sb5 was computed for Cu Kα.
Peak positions follow from Bragg's law for the DFT cell and can differ from measured ones.

Cell and atoms:
Lattice parameters (Å, degrees): 8.7046 8.7046 8.1872 90.00 90.00 54.07
Element x y z (fractional)
Er1 0.1914 0.1914 0.0000
Er2 0.3086 0.3086 0.5000
Er3 0.6914 0.6914 0.5000
Er4 0.8086 0.8086 0.0000
Tm1 0.1548 0.8452 0.6598
Tm2 0.3452 0.6548 0.1598
Tm3 0.6548 0.3452 0.8402
Tm4 0.8452 0.1548 0.3402
Sb1 0.0000 0.0000 0.0000
Sb2 0.0088 0.7100 0.3513
Sb3 0.2100 0.5088 0.8513
Sb4 0.2900 0.9912 0.3513
Sb5 0.4912 0.7900 0.8513
Sb6 0.5000 0.5000 0.5000
Sb7 0.5088 0.2100 0.1487
Sb8 0.7100 0.0088 0.6487
Sb9 0.7900 0.4912 0.1487
Sb10 0.9912 0.2900 0.6487

The 12 most intense peaks (2θ from 10° to 90°), in order of rising 2θ:
2θ (°)  I/Imax
27.56  42
30.05  100
31.45  39
32.89  35
34.18  78
34.71  43
35.27  69
36.25  62
38.14  20
45.75  28
46.54  26
64.70  22

Record 2
Starting from DFT lattice parameters and positions (GGA-PBE), the powder XRD pattern of ErTm3Sb4 was computed for Cu Kα.
Peak positions follow from Bragg's law for the DFT cell and can differ from measured ones.

Cell and atoms:
Lattice parameters (Å, degrees): 6.1336 6.1336 6.1336 90.00 90.00 90.00
Element x y z (fractional)
Er1 0.0000 0.0000 0.0000
Tm1 0.0000 0.5000 0.5000
Tm2 0.5000 0.0000 0.5000
Tm3 0.5000 0.5000 0.0000
Sb1 0.0000 0.0000 0.5000
Sb2 0.0000 0.5000 0.0000
Sb3 0.5000 0.0000 0.0000
Sb4 0.5000 0.5000 0.5000

The 10 most intense peaks (2θ from 10° to 90°), in order of rising 2θ:
2θ (°)  I/Imax
25.15  5
29.12  100
41.65  76
49.27  3
51.62  27
60.36  13
66.44  1
68.40  35
76.01  26
81.55  1

Record 3
Starting from DFT lattice parameters and positions (GGA-PBE), the powder XRD pattern of Er2Tm5Sb4 was computed for Cu Kα.
Peak positions follow from Bragg's law for the DFT cell and can differ from measured ones.

Cell and atoms:
Lattice parameters (Å, degrees): 12.8994 12.8994 7.1903 91.55 91.55 16.11
Element x y z (fractional)
Er1 0.2366 0.2366 0.2838
Er2 0.7634 0.7634 0.7162
Tm1 0.0899 0.0899 0.1985
Tm2 0.1414 0.1414 0.6613
Tm3 0.5000 0.5000 0.5000
Tm4 0.8586 0.8586 0.3387
Tm5 0.9101 0.9101 0.8015
Sb1 0.0328 0.0328 0.8172
Sb2 0.3279 0.3279 0.9973
Sb3 0.6721 0.6721 0.0027
Sb4 0.9672 0.9672 0.1828

The 12 most intense peaks (2θ from 10° to 90°), in order of rising 2θ:
2θ (°)  I/Imax
24.88  29
29.71  66
30.32  100
33.05  68
35.33  19
35.47  45
36.96  32
38.02  25
39.20  20
42.68  26
50.49  26
60.05  27